[1]
# Pm4Y8Er
Theoretical powder diffraction line list, Cu Kα (λ = 1.5418 Å). Input: the GGA-PBE geometry in Alexandria.
Peak positions follow from Bragg's law for the DFT cell and can differ from measured ones.

Most intense lines, 5° ≤ 2θ ≤ 70°, in order of falling intensity:
2θ 30.8, d 2.900, I = 100; 2θ 32.4, d 2.765, I = 37; 2θ 38.4, d 2.343, I = 33; 2θ 49.4, d 1.846, I = 29; 2θ 29.2, d 3.059, I = 24; 2θ 28.1, d 3.177, I = 20; 2θ 58.4, d 1.581, I = 18; 2θ 59.3, d 1.558, I = 14; 2θ 51.8, d 1.766, I = 13; 2θ 54.8, d 1.675, I = 10

Atomic structure:
```
Pm4Y8Er
1.0
3.693 2.132 9.177
-3.693 2.132 9.177
0.000 -4.264 9.177
Pm Y Er
4 8 1
direct
0.000 0.000 0.000
0.000 0.500 0.500
0.500 0.000 0.500
0.500 0.500 0.000
0.197 0.749 0.749
0.215 0.215 0.215
0.251 0.251 0.803
0.251 0.803 0.251
0.749 0.197 0.749
0.749 0.749 0.197
0.785 0.785 0.785
0.803 0.251 0.251
0.500 0.500 0.500
```

[2]
# Pm3YEr2
Theoretical powder diffraction line list, Cu Kα (λ = 1.5418 Å). Input: the GGA-PBE geometry in Alexandria.
Peak positions follow from Bragg's law for the DFT cell and can differ from measured ones.

Most intense lines, 5° ≤ 2θ ≤ 70°, in order of falling intensity:
2θ 31.8, d 2.814, I = 100; 2θ 30.7, d 2.911, I = 87; 2θ 29.9, d 2.987, I = 86; 2θ 33.5, d 2.678, I = 81; 2θ 60.5, d 1.530, I = 76; 2θ 50.7, d 1.799, I = 65; 2θ 36.4, d 2.465, I = 54; 2θ 29.5, d 3.032, I = 42; 2θ 31.1, d 2.877, I = 35; 2θ 34.4, d 2.608, I = 26

Atomic structure:
```
Pm3YEr2
1.0
6.230 0.000 0.000
0.000 3.600 0.000
-2.099 0.000 17.468
Pm Y Er
6 2 4
direct
0.026 0.250 0.333
0.138 0.750 0.165
0.252 0.750 0.502
0.748 0.250 0.498
0.862 0.250 0.835
0.974 0.750 0.667
0.363 0.750 0.834
0.637 0.250 0.166
0.250 0.250 0.000
0.477 0.250 0.668
0.523 0.750 0.332
0.750 0.750 0.000
```

[3]
# Pm3Y2Er7
Theoretical powder diffraction line list, Cu Kα (λ = 1.5418 Å). Input: the GGA-PBE geometry in Alexandria.
Peak positions follow from Bragg's law for the DFT cell and can differ from measured ones.

Most intense lines, 5° ≤ 2θ ≤ 70°, in order of falling intensity:
2θ 30.9, d 2.896, I = 100; 2θ 31.4, d 2.845, I = 54; 2θ 34.9, d 2.569, I = 42; 2θ 29.8, d 2.995, I = 40; 2θ 33.9, d 2.646, I = 37; 2θ 52.9, d 1.729, I = 21; 2θ 50.5, d 1.808, I = 19; 2θ 38.1, d 2.361, I = 16; 2θ 52.1, d 1.756, I = 15; 2θ 61.8, d 1.501, I = 15

Atomic structure:
```
Pm3Y2Er7
1.0
6.327 0.000 0.000
0.000 3.512 0.000
-1.891 0.000 17.361
Pm Y Er
3 2 7
direct
0.000 0.000 0.000
0.048 0.500 0.658
0.952 0.500 0.342
0.444 0.000 0.326
0.556 0.000 0.674
0.230 0.500 0.165
0.247 0.000 0.500
0.274 0.000 0.834
0.500 0.500 0.000
0.726 0.000 0.166
0.753 0.000 0.500
0.770 0.500 0.835
```

[4]
# Pm8Y5Er
Theoretical powder diffraction line list, Cu Kα (λ = 1.5418 Å). Input: the GGA-PBE geometry in Alexandria.
Peak positions follow from Bragg's law for the DFT cell and can differ from measured ones.

Most intense lines, 5° ≤ 2θ ≤ 70°, in order of falling intensity:
2θ 33.3, d 2.687, I = 100; 2θ 27.7, d 3.225, I = 87; 2θ 29.1, d 3.073, I = 87; 2θ 28.9, d 3.089, I = 80; 2θ 34.0, d 2.636, I = 73; 2θ 34.4, d 2.607, I = 69; 2θ 22.2, d 4.001, I = 34; 2θ 31.3, d 2.854, I = 28; 2θ 55.4, d 1.658, I = 27; 2θ 62.1, d 1.494, I = 23

Atomic structure:
```
Pm8Y5Er
1.0
6.863 -5.128 0.000
6.863 5.128 0.000
-6.855 0.000 6.880
Pm Y Er
8 5 1
direct
0.068 0.068 0.239
0.140 0.517 0.896
0.331 0.025 0.769
0.483 0.860 0.104
0.567 0.250 0.587
0.750 0.433 0.413
0.932 0.932 0.761
0.975 0.669 0.231
0.221 0.560 0.595
0.277 0.314 0.186
0.440 0.779 0.405
0.686 0.723 0.814
0.906 0.094 0.500
0.655 0.345 0.000
```

[5]
# Pm7Y2Er2
Theoretical powder diffraction line list, Cu Kα (λ = 1.5418 Å). Input: the GGA-PBE geometry in Alexandria.
Peak positions follow from Bragg's law for the DFT cell and can differ from measured ones.

Most intense lines, 5° ≤ 2θ ≤ 70°, in order of falling intensity:
2θ 31.3, d 2.862, I = 100; 2θ 33.7, d 2.656, I = 66; 2θ 31.4, d 2.847, I = 44; 2θ 30.7, d 2.915, I = 34; 2θ 25.2, d 3.538, I = 28; 2θ 31.0, d 2.882, I = 27; 2θ 50.2, d 1.816, I = 19; 2θ 44.7, d 2.025, I = 15; 2θ 53.7, d 1.707, I = 13; 2θ 55.8, d 1.646, I = 12

Atomic structure:
```
Pm7Y2Er2
1.0
5.797 -5.693 0.000
5.797 5.693 0.000
-2.294 0.000 5.628
Pm Y Er
7 2 2
direct
0.000 0.000 0.000
0.047 0.590 0.825
0.234 0.234 0.600
0.410 0.953 0.175
0.590 0.047 0.825
0.766 0.766 0.400
0.953 0.410 0.175
0.218 0.782 0.500
0.782 0.218 0.500
0.421 0.421 0.201
0.579 0.579 0.799
```

[6]
# PmY5Er7
Theoretical powder diffraction line list, Cu Kα (λ = 1.5418 Å). Input: the GGA-PBE geometry in Alexandria.
Peak positions follow from Bragg's law for the DFT cell and can differ from measured ones.

Most intense lines, 5° ≤ 2θ ≤ 70°, in order of falling intensity:
2θ 31.8, d 2.815, I = 100; 2θ 31.1, d 2.879, I = 86; 2θ 34.9, d 2.572, I = 65; 2θ 27.7, d 3.226, I = 52; 2θ 26.5, d 3.367, I = 42; 2θ 30.8, d 2.907, I = 37; 2θ 31.3, d 2.855, I = 30; 2θ 57.7, d 1.597, I = 28; 2θ 50.2, d 1.818, I = 24; 2θ 57.1, d 1.613, I = 24

Atomic structure:
```
PmY5Er7
1.0
-3.367 5.513 5.762
3.367 -5.513 5.762
3.367 5.513 -5.762
Pm Y Er
1 5 7
direct
0.000 0.000 0.000
0.023 0.030 0.458
0.023 0.566 0.993
0.300 0.800 0.500
0.572 0.030 0.007
0.572 0.566 0.542
0.219 0.548 0.671
0.301 0.301 0.000
0.380 0.050 0.330
0.604 0.604 0.000
0.720 0.050 0.670
0.798 0.298 0.500
0.877 0.548 0.329
```